Simulated PXRD pattern
Compound: KTiTe2
Radiation: Cu Kα (λ = 1.5418 Å)
Structure: a cell relaxed with PBE

Principal peaks in the range 2θ from 15° to 90°, by intensity:
2theta, intensity
24.8, 100.0
34.9, 70.3
24.5, 63.9
24.2, 63.8
22.0, 46.7
25.5, 43.8

Crystal structure
Cell: 7.2552 7.3449 12.7464 Å, 90.00 115.77 90.00°
Positions (direct):
K (0.1056, 0.1974, 0.1270)
K (0.1056, 0.8026, 0.6270)
K (0.8944, 0.1974, 0.3730)
K (0.8944, 0.8026, 0.8730)
Ti (0.4895, 0.4046, 0.8737)
Ti (0.4895, 0.5954, 0.3737)
Ti (0.5105, 0.4046, 0.6263)
Ti (0.5105, 0.5954, 0.1263)
Te (0.1834, 0.3190, 0.6657)
Te (0.1834, 0.6810, 0.1657)
Te (0.4524, 0.2440, 0.4232)
Te (0.4524, 0.7560, 0.9232)
Te (0.5476, 0.2440, 0.0768)
Te (0.5476, 0.7560, 0.5768)
Te (0.8166, 0.3190, 0.8343)
Te (0.8166, 0.6810, 0.3343)